# 1
For Sm2Fe17CN, a GGA-PBE-relaxed structure gives the simulated powder X-ray diffraction pattern in this record (Cu Kα (weighted mean of Kα1 and Kα2)).
Lines closer than 0.1° are merged.

Top 8 peaks for 10 to 80 degrees two-theta, by intensity:
h k l  d/Å  2θ/deg  intensity
-1 2 2  2.143  42.16  100
2 0 -2  2.164  41.74  74
2 2 2  2.073  43.67  58
2 2 0  2.395  37.55  45
1 0 2  3.000  29.78  41
1 -2 1  2.508  35.81  39
0 2 -2  2.176  41.50  38
3 0 0  2.135  42.34  27

a = 6.478 Å, b = 6.504 Å, c = 6.522 Å
α = 83.85°, β = 83.62°, γ = 83.53°
Space group P-1 (No. 2)
Inequivalent atoms, fractional coordinates:
Sm  0.159  0.151  0.162 (multiplicity 2)
Fe  0.000  0.500  0.500 (multiplicity 1)
Fe  0.155  0.645  0.160 (multiplicity 2)
Fe  0.156  0.158  0.646 (multiplicity 2)
Fe  0.212  0.786  0.502 (multiplicity 2)
Fe  0.214  0.501  0.785 (multiplicity 2)
Fe  0.352  0.843  0.840 (multiplicity 2)
Fe  0.404  0.405  0.405 (multiplicity 2)
Fe  0.499  0.217  0.783 (multiplicity 2)
Fe  0.500  0.000  0.500 (multiplicity 1)
Fe  0.500  0.500  0.000 (multiplicity 1)
C  0.000  0.500  0.000 (multiplicity 1)
N  0.500  0.000  0.000 (multiplicity 1)


# 2
For FeSn2C6N6, a GGA-PBE-relaxed structure gives the simulated powder X-ray diffraction pattern in this record (Cu Kα (weighted mean of Kα1 and Kα2)).
Lines closer than 0.1° are merged.

Top 8 peaks for 10 to 80 degrees two-theta, by intensity:
h k l  d/Å  2θ/deg  intensity
1 0 1  4.163  21.34  100
1 1 0  3.622  24.58  68
0 2 1  2.733  32.77  49
1 1 1  3.036  29.42  36
1 1 2  2.207  40.90  36
3 -1 1  2.181  41.39  27
0 0 1  5.565  15.93  25
3 0 0  2.091  43.27  17

a = 7.2441 Å, b = 7.2441 Å, c = 5.5648 Å
α = 90.00°, β = 90.00°, γ = 120.00°
Space group P-3 (No. 147)
Inequivalent atoms, fractional coordinates:
Fe  0.0000  0.0000  0.0000 (multiplicity 1)
Sn  0.3333  0.6667  0.5563 (multiplicity 2)
C  0.0801  0.2421  0.1909 (multiplicity 6)
N  0.1273  0.3972  0.3046 (multiplicity 6)


# 3
For Tl4FeC6N6, a GGA-PBE-relaxed structure gives the simulated powder X-ray diffraction pattern in this record (Cu Kα (weighted mean of Kα1 and Kα2)).
Lines closer than 0.1° are merged.

Top 8 peaks for 10 to 80 degrees two-theta, by intensity:
h k l  d/Å  2θ/deg  intensity
1 -1 3  3.745  23.76  100
0 2 0  3.728  23.87  98
1 0 -3  3.804  23.39  82
0 2 -4  2.854  31.35  80
1 2 -3  2.900  30.83  67
1 1 3  2.949  30.31  65
1 1 -1  4.897  18.12  61
3 0 -3  2.163  41.76  53

a = 7.362 Å, b = 7.809 Å, c = 13.483 Å
α = 105.20°, β = 90.53°, γ = 97.94°
Space group P-1 (No. 2)
Inequivalent atoms, fractional coordinates:
Tl  0.120  0.467  0.134 (multiplicity 2)
Tl  0.243  0.933  0.568 (multiplicity 2)
Tl  0.282  0.037  0.918 (multiplicity 2)
Tl  0.350  0.475  0.648 (multiplicity 2)
Fe  0.227  0.000  0.248 (multiplicity 2)
C  0.043  0.148  0.256 (multiplicity 2)
C  0.073  0.849  0.311 (multiplicity 2)
C  0.139  0.872  0.114 (multiplicity 2)
C  0.321  0.132  0.380 (multiplicity 2)
C  0.376  0.152  0.182 (multiplicity 2)
C  0.418  0.858  0.246 (multiplicity 2)
N  0.020  0.241  0.645 (multiplicity 2)
N  0.071  0.756  0.740 (multiplicity 2)
N  0.087  0.798  0.027 (multiplicity 2)
N  0.385  0.204  0.464 (multiplicity 2)
N  0.459  0.224  0.751 (multiplicity 2)
N  0.464  0.241  0.136 (multiplicity 2)